For CeAgPO, the PBE geometry in Alexandria gives the simulated powder diffraction line list in this record (CuKα).

```
CeAgPO
1.0
3.9743 0.0000 0.0000
0.0000 3.9743 0.0000
0.0000 0.0000 8.6474
Ce Ag P O
2 2 2 2
Cartesian
0.9936 0.9936 1.2525 Ce
2.9808 2.9808 7.3949 Ce
0.9936 2.9808 4.3237 Ag
2.9808 0.9936 4.3237 Ag
0.9936 0.9936 6.0490 P
2.9808 2.9808 2.5984 P
0.9936 2.9808 0.0000 O
2.9808 0.9936 0.0000 O
```

Top 6 peaks for 2θ = 5–70°, by intensity:
- d 2.926, rel. 100
- d 2.673, rel. 98
- d 2.356, rel. 82
- d 1.987, rel. 61
- d 1.714, rel. 49
- d 3.611, rel. 46



For Na2Hg3, the PBE geometry in Alexandria gives the simulated powder diffraction line list in this record (CuKα).

```
Na2Hg3
1.0
-5.3046 5.3046 5.3046
5.3046 -5.3046 5.3046
5.3046 5.3046 -5.3046
Na Hg
8 12
Cartesian
4.9133 0.3913 -0.3913 Na
7.5657 -2.2610 2.2610 Na
0.3913 0.3913 0.3913 Na
0.3913 -0.3913 4.9133 Na
-0.3913 4.9133 0.3913 Na
2.2610 7.5657 -2.2610 Na
3.0436 3.0436 3.0436 Na
-2.2610 2.2610 7.5657 Na
5.3046 2.6523 -2.4837 Hg
2.6523 2.4837 0.0000 Hg
2.4837 0.0000 2.6523 Hg
5.4732 0.0000 2.6523 Hg
2.6523 -2.4837 5.3046 Hg
0.0000 2.6523 2.4837 Hg
2.6523 5.4732 0.0000 Hg
5.3046 2.6523 5.1360 Hg
-2.4837 5.3046 2.6523 Hg
5.1360 5.3046 2.6523 Hg
0.0000 2.6523 5.4732 Hg
2.6523 5.1360 5.3046 Hg
```

Top 6 peaks for 2θ = 5–70°, by intensity:
- d 2.835, rel. 100
- d 4.331, rel. 84
- d 2.652, rel. 76
- d 1.875, rel. 51
- d 2.262, rel. 39
- d 1.444, rel. 27



For Fe2ReSe, the PBE geometry in Alexandria gives the simulated powder diffraction line list in this record (CuKα).

```
Fe2ReSe
1.0
2.8404 0.0000 0.0000
0.0000 3.4712 0.0000
0.0000 0.0000 5.3060
Fe Re Se
2 1 1
Cartesian
0.0000 0.0000 1.2612 Fe
0.0000 0.0000 4.0448 Fe
1.4202 1.7356 0.0000 Re
1.4202 1.7356 2.6530 Se
```

Top 6 peaks for 2θ = 5–70°, by intensity:
- d 2.198, rel. 100
- d 2.108, rel. 87
- d 1.939, rel. 67
- d 5.306, rel. 40
- d 3.471, rel. 24
- d 1.736, rel. 24



For Zn2In3Hg4, the PBE geometry in Alexandria gives the simulated powder diffraction line list in this record (CuKα).

```
Zn2In3Hg4
1.0
4.2777 -9.3999 0.0000
4.2777 9.3999 0.0000
-4.2462 0.0000 5.5072
Zn In Hg
4 6 8
Cartesian
1.4335 7.4953 2.8557 Zn
0.7527 7.4953 5.4050 Zn
3.5566 -7.4953 0.1022 Zn
2.8758 -7.4953 2.6514 Zn
2.1669 2.6076 0.1292 In
1.0931 2.3156 4.1304 In
0.0438 -2.6076 2.8828 In
4.2654 2.6076 2.6244 In
3.2162 -2.3156 1.3768 In
2.1423 -2.6076 5.3780 In
1.6525 4.7677 2.3884 Hg
0.9010 0.2143 1.7797 Hg
-1.2221 -0.2143 4.5333 Hg
4.7798 4.7677 0.3652 Hg
-0.4706 -4.7677 5.1420 Hg
5.5313 0.2143 0.9739 Hg
3.4082 -0.2143 3.7274 Hg
2.6567 -4.7677 3.1188 Hg
```

Top 6 peaks for 2θ = 5–70°, by intensity:
- d 2.737, rel. 100
- d 2.512, rel. 37
- d 2.970, rel. 36
- d 2.350, rel. 26
- d 3.187, rel. 24
- d 2.300, rel. 21



For Ag3PbF9, the PBE geometry in Alexandria gives the simulated powder diffraction line list in this record (CuKα).

```
Ag3PbF9
1.0
8.5646 -2.7466 0.0000
8.5646 2.7466 0.0000
-6.8082 0.0000 9.7051
Ag Pb F
6 2 18
Cartesian
2.2955 1.2004 2.4210 Ag
5.1605 2.4108 4.8526 Ag
8.0314 0.7373 2.6136 Ag
-1.1086 -1.2004 7.2736 Ag
4.6273 -0.7373 7.4662 Ag
8.5646 -2.4108 0.0000 Ag
1.8340 1.5730 6.0403 Pb
5.2381 -1.5730 1.1878 Pb
6.6752 2.3449 0.9834 F
-2.5688 0.4834 7.0842 F
6.9583 1.8795 3.9029 F
0.8353 -0.4834 2.2316 F
3.1085 0.6200 4.6229 F
3.9687 0.0697 1.3717 F
0.5646 -0.0697 6.2242 F
3.0446 0.7569 7.6299 F
-0.2956 -0.6200 9.4755 F
5.7338 0.4758 6.2193 F
6.4487 -0.7569 2.7773 F
5.9437 0.4100 9.2482 F
9.1379 -0.4758 1.3667 F
9.3478 -0.4100 4.3956 F
12.6994 0.0658 2.6647 F
3.2711 -2.3449 5.8360 F
9.2953 -0.0658 7.5173 F
3.5542 -1.8795 8.7554 F
```

Top 6 peaks for 2θ = 5–70°, by intensity:
- d 3.948, rel. 100
- d 3.186, rel. 36
- d 3.218, rel. 34
- d 4.975, rel. 34
- d 4.178, rel. 33
- d 4.853, rel. 26



For Tl2Bi2RuO6, the PBE geometry in Alexandria gives the simulated powder diffraction line list in this record (CuKα).

```
Tl2Bi2RuO6
1.0
3.0775 -5.0602 0.0000
3.0775 5.0602 0.0000
-1.5837 0.0000 6.5434
Tl Bi Ru O
2 2 1 6
Cartesian
3.0775 3.3631 0.0000 Tl
3.0775 -3.3631 0.0000 Tl
2.2856 1.6655 3.2717 Bi
2.2856 -1.6655 3.2717 Bi
-0.7919 0.0000 3.2717 Ru
0.1113 1.5929 4.2798 O
0.6936 0.0000 1.9462 O
0.1113 -1.5929 4.2798 O
4.4599 1.5929 2.2636 O
3.8776 0.0000 4.5972 O
4.4599 -1.5929 2.2636 O
```

Top 6 peaks for 2θ = 5–70°, by intensity:
- d 2.572, rel. 100
- d 2.804, rel. 88
- d 3.272, rel. 72
- d 2.991, rel. 56
- d 2.523, rel. 47
- d 4.516, rel. 36